Starting from a PBE+U-relaxed structure, the powder X-ray diffraction pattern of Eu2Ni2O5 was computed for Cu Kα (λ = 1.5418 Å).
Peak positions follow from Bragg's law for the DFT cell and can differ from measured ones.

a b c (Å): 8.691 8.691 8.691
angles (deg): 52.51 142.70 144.40
Fractional coordinates of all 18 atoms:
Eu: 0.018 0.110 0.128
Eu: 0.018 0.390 0.408
Eu: 0.982 0.610 0.592
Eu: 0.982 0.890 0.872
Ni: 0.408 0.716 0.192
Ni: 0.508 0.008 0.500
Ni: 0.508 0.508 0.000
Ni: 0.525 0.216 0.808
O: 0.009 0.268 0.767
O: 0.009 0.741 0.240
O: 0.190 0.839 0.851
O: 0.465 0.163 0.571
O: 0.465 0.394 0.802
O: 0.501 0.241 0.233
O: 0.501 0.768 0.760
O: 0.592 0.663 0.198
O: 0.592 0.894 0.429
O: 0.989 0.339 0.149

Top 12 peaks for 2θ from 5° to 70°, in order of falling intensity:
2θ (°)	I (rel.)
32.74	100.0
33.73	32.7
32.21	32.3
47.33	27.7
57.77	25.8
23.16	21.5
59.71	18.5
41.98	14.2
46.61	11.8
68.61	11.7
11.35	11.5
39.84	9.6

=====

Starting from a PBE+U-relaxed structure, the powder X-ray diffraction pattern of Li9Co7O16 was computed for Cu Kα (λ = 1.5418 Å).
Peak positions follow from Bragg's law for the DFT cell and can differ from measured ones.

a b c (Å): 10.160 10.160 10.160
angles (deg): 32.95 32.95 32.95
Fractional coordinates of all 32 atoms:
Li: 0.000 0.000 0.000
Li: 0.244 0.754 0.754
Li: 0.246 0.246 0.756
Li: 0.246 0.756 0.246
Li: 0.251 0.251 0.251
Li: 0.749 0.749 0.749
Li: 0.754 0.244 0.754
Li: 0.754 0.754 0.244
Li: 0.756 0.246 0.246
Co: 0.000 0.000 0.500
Co: 0.000 0.500 0.000
Co: 0.000 0.500 0.500
Co: 0.500 0.000 0.000
Co: 0.500 0.000 0.500
Co: 0.500 0.500 0.000
Co: 0.500 0.500 0.500
O: 0.125 0.628 0.628
O: 0.126 0.126 0.126
O: 0.143 0.143 0.609
O: 0.143 0.609 0.143
O: 0.369 0.369 0.369
O: 0.372 0.372 0.875
O: 0.372 0.875 0.372
O: 0.391 0.857 0.857
O: 0.609 0.143 0.143
O: 0.628 0.125 0.628
O: 0.628 0.628 0.125
O: 0.631 0.631 0.631
O: 0.857 0.391 0.857
O: 0.857 0.857 0.391
O: 0.874 0.874 0.874
O: 0.875 0.372 0.372

Top 12 peaks for 2θ from 5° to 70°, in order of falling intensity:
2θ (°)	I (rel.)
18.48	100.0
44.16	79.3
36.54	39.8
64.69	21.3
63.75	21.2
58.11	14.1
48.26	13.8
67.92	13.8
38.17	11.8
18.82	6.7
18.04	6.4
9.21	5.1

=====

Starting from a PBE+U-relaxed structure, the powder X-ray diffraction pattern of Sr3Mn4O12 was computed for Cu Kα (λ = 1.5418 Å).
Peak positions follow from Bragg's law for the DFT cell and can differ from measured ones.

a b c (Å): 5.515 5.515 9.317
angles (deg): 90.00 90.00 120.00
Fractional coordinates of all 19 atoms:
Sr: 0.000 0.000 0.000
Sr: 0.333 0.667 0.743
Sr: 0.667 0.333 0.257
Mn: 0.333 0.667 0.112
Mn: 0.333 0.667 0.387
Mn: 0.667 0.333 0.613
Mn: 0.667 0.333 0.888
O: 0.000 0.500 0.000
O: 0.000 0.500 0.500
O: 0.184 0.367 0.248
O: 0.184 0.816 0.248
O: 0.367 0.184 0.752
O: 0.500 0.000 0.000
O: 0.500 0.000 0.500
O: 0.500 0.500 0.000
O: 0.500 0.500 0.500
O: 0.633 0.816 0.248
O: 0.816 0.184 0.752
O: 0.816 0.633 0.752

Top 12 peaks for 2θ from 5° to 70°, in order of falling intensity:
2θ (°)	I (rel.)
32.47	100.0
34.45	79.9
48.06	56.4
18.58	48.1
42.54	46.0
59.20	36.3
20.90	29.2
26.73	25.7
67.99	23.9
9.49	22.3
57.92	18.3
63.30	14.2

=====

Starting from a PBE+U-relaxed structure, the powder X-ray diffraction pattern of MnAl2Sb2P6O24 was computed for Cu Kα (λ = 1.5418 Å).
Peak positions follow from Bragg's law for the DFT cell and can differ from measured ones.

a b c (Å): 8.544 8.544 8.544
angles (deg): 60.12 60.12 60.12
Fractional coordinates of all 35 atoms:
Mn: 0.000 0.000 0.000
Al: 0.144 0.144 0.144
Al: 0.856 0.856 0.856
Sb: 0.362 0.362 0.362
Sb: 0.638 0.638 0.638
P: 0.035 0.457 0.761
P: 0.239 0.965 0.543
P: 0.457 0.761 0.035
P: 0.543 0.239 0.965
P: 0.761 0.035 0.457
P: 0.965 0.543 0.239
O: 0.009 0.375 0.190
O: 0.063 0.261 0.922
O: 0.078 0.937 0.739
O: 0.130 0.524 0.287
O: 0.190 0.009 0.375
O: 0.223 0.450 0.585
O: 0.261 0.922 0.063
O: 0.287 0.130 0.524
O: 0.375 0.190 0.009
O: 0.415 0.777 0.550
O: 0.450 0.585 0.223
O: 0.476 0.713 0.870
O: 0.524 0.287 0.130
O: 0.550 0.415 0.777
O: 0.585 0.223 0.450
O: 0.625 0.810 0.991
O: 0.713 0.870 0.476
O: 0.739 0.078 0.937
O: 0.777 0.550 0.415
O: 0.810 0.991 0.625
O: 0.870 0.476 0.713
O: 0.922 0.063 0.261
O: 0.937 0.739 0.078
O: 0.991 0.625 0.810

Top 12 peaks for 2θ from 5° to 70°, in order of falling intensity:
2θ (°)	I (rel.)
24.41	100.0
20.77	85.0
36.37	31.8
12.70	31.2
56.95	30.1
33.15	27.5
47.57	25.2
29.54	25.0
38.67	19.2
32.26	17.9
44.30	17.0
58.59	12.5

=====

Starting from a PBE+U-relaxed structure, the powder X-ray diffraction pattern of Sr3Co2O6 was computed for Cu Kα (λ = 1.5418 Å).
Peak positions follow from Bragg's law for the DFT cell and can differ from measured ones.

a b c (Å): 6.611 6.691 6.702
angles (deg): 92.85 92.80 92.92
Fractional coordinates of all 22 atoms:
Sr: 0.000 0.000 0.000
Sr: 0.132 0.500 0.865
Sr: 0.363 0.268 0.365
Sr: 0.497 0.769 0.231
Sr: 0.634 0.636 0.733
Sr: 0.865 0.135 0.500
Co: 0.250 0.882 0.617
Co: 0.497 0.135 0.862
Co: 0.747 0.381 0.119
Co: 0.995 0.643 0.357
O: 0.024 0.347 0.204
O: 0.157 0.926 0.330
O: 0.213 0.164 0.705
O: 0.287 0.606 0.529
O: 0.340 0.841 0.900
O: 0.472 0.422 0.031
O: 0.527 0.969 0.576
O: 0.657 0.100 0.159
O: 0.709 0.471 0.396
O: 0.785 0.293 0.838
O: 0.841 0.671 0.073
O: 0.973 0.796 0.652

Top 12 peaks for 2θ from 5° to 70°, in order of falling intensity:
2θ (°)	I (rel.)
32.02	100.0
30.57	62.9
44.84	51.5
32.23	49.5
30.87	42.3
45.30	24.1
30.67	20.3
39.76	19.9
39.40	18.0
57.34	17.7
43.52	15.0
49.94	13.3